This entry pairs a crystal structure of UPa6Ga with its calculated powder diffractogram. Radiation: Cu Kα. Structure: a cell relaxed with GGA-PBE.
Peak positions follow from Bragg's law for the DFT cell and can differ from measured ones.

Peak list (6 most intense, 2θ = 10–80°, sorted by position)
34.22 deg, intensity 99, hkl 0 2 4; 34.37 deg, intensity 100, hkl 2 2 0; 39.43 deg, intensity 70, hkl 2 0 4; 40.56 deg, intensity 32, hkl 0 4 0; 57.85 deg, intensity 46, hkl 2 4 4; 68.36 deg, intensity 28, hkl 4 2 4

Atomic structure:
```
data_UPa6Ga
_space_group_name_H-M_alt 'F m m m'
_space_group_IT_number 69
_space_group_name_Hall '-F 2 2'
_cell_length_a 6.443
_cell_length_b 8.896
_cell_length_c 12.970
_cell_angle_alpha 90.00
_cell_angle_beta 90.00
_cell_angle_gamma 90.00
loop_
_atom_site_label
_atom_site_type_symbol
_atom_site_fract_x
_atom_site_fract_y
_atom_site_fract_z
_atom_site_occupancy
U1 U 0.000 0.000 0.000 1
Pa1 Pa 0.000 0.000 0.255 1
Pa2 Pa 0.250 0.250 0.118 1
Ga1 Ga 0.000 0.000 0.500 1
```

This entry pairs a crystal structure of Er5Si3 with its calculated powder diffractogram. Radiation: Cu Kα. Structure: a cell relaxed with GGA-PBE.
Peak positions follow from Bragg's law for the DFT cell and can differ from measured ones.

Peak list (6 most intense, 2θ = 10–80°, sorted by position)
27.47 deg, intensity 46, hkl 2 1 1; 33.51 deg, intensity 100, hkl 2 1 3; 36.07 deg, intensity 41, hkl 2 0 4; 38.02 deg, intensity 44, hkl 3 1 0; 54.60 deg, intensity 23, hkl 4 1 3; 59.25 deg, intensity 22, hkl 3 3 4

Atomic structure:
```
data_Er5Si3
_space_group_name_H-M_alt 'I 4/m c m'
_space_group_IT_number 140
_space_group_name_Hall '-I 4 2c'
_cell_length_a 7.485
_cell_length_b 7.485
_cell_length_c 13.343
_cell_angle_alpha 90.00
_cell_angle_beta 90.00
_cell_angle_gamma 90.00
loop_
_atom_site_label
_atom_site_type_symbol
_atom_site_fract_x
_atom_site_fract_y
_atom_site_fract_z
_atom_site_occupancy
Er1 Er 0.000 0.000 0.000 1
Er2 Er 0.169 0.331 0.145 1
Si1 Si 0.000 0.000 0.250 1
Si2 Si 0.127 0.373 0.500 1
```

This entry pairs a crystal structure of ThPbCl14 with its calculated powder diffractogram. Radiation: Cu Kα. Structure: a cell relaxed with GGA-PBE.
Peak positions follow from Bragg's law for the DFT cell and can differ from measured ones.

Peak list (6 most intense, 2θ = 10–80°, sorted by position)
11.44 deg, intensity 100, hkl 0 1 0; 13.60 deg, intensity 51, hkl 1 -1 0; 14.94 deg, intensity 47, hkl 1 -1 1; 16.26 deg, intensity 36, hkl 0 1 1; 16.77 deg, intensity 40, hkl 1 0 1; 23.23 deg, intensity 42, hkl 0 2 -2

Atomic structure:
```
data_ThPbCl14
_space_group_name_H-M_alt 'P 1'
_space_group_IT_number 1
_cell_length_a 7.273
_cell_length_b 8.901
_cell_length_c 11.453
_cell_angle_alpha 108.10
_cell_angle_beta 91.36
_cell_angle_gamma 112.15
loop_
_space_group_symop_operation_xyz
'x,y,z'
loop_
_atom_site_label
_atom_site_type_symbol
_atom_site_fract_x
_atom_site_fract_y
_atom_site_fract_z
_atom_site_occupancy
Th1 Th 0.000 0.000 0.000 1
Pb1 Pb 0.269 0.112 0.670 1
Cl1 Cl 0.025 0.178 0.573 1
Cl2 Cl 0.028 0.213 0.220 1
Cl3 Cl 0.041 0.710 0.986 1
Cl4 Cl 0.087 0.246 0.901 1
Cl5 Cl 0.138 0.868 0.755 1
Cl6 Cl 0.388 0.955 0.495 1
Cl7 Cl 0.425 0.149 0.098 1
Cl8 Cl 0.550 0.811 0.231 1
Cl9 Cl 0.554 0.980 0.964 1
Cl10 Cl 0.574 0.340 0.799 1
Cl11 Cl 0.618 0.503 0.498 1
Cl12 Cl 0.662 0.797 0.816 1
Cl13 Cl 0.754 0.750 0.126 1
Cl14 Cl 0.793 0.396 0.404 1
```

This entry pairs a crystal structure of ZrCr5P3 with its calculated powder diffractogram. Radiation: Cu Kα. Structure: a cell relaxed with GGA-PBE.
Peak positions follow from Bragg's law for the DFT cell and can differ from measured ones.

Peak list (6 most intense, 2θ = 10–80°, sorted by position)
38.37 deg, intensity 58, hkl 0 1 3; 38.66 deg, intensity 92, hkl 2 1 1; 38.92 deg, intensity 100, hkl 2 1 -2; 39.19 deg, intensity 31, hkl 0 0 4; 43.50 deg, intensity 27, hkl 2 1 2; 50.02 deg, intensity 62, hkl 0 2 0

Atomic structure:
```
data_ZrCr5P3
_space_group_name_H-M_alt 'P 1 21/m 1'
_space_group_IT_number 11
_cell_length_a 6.913
_cell_length_b 3.647
_cell_length_c 9.331
_cell_angle_alpha 90.00
_cell_angle_beta 99.96
_cell_angle_gamma 90.00
loop_
_space_group_symop_operation_xyz
'x,y,z'
'-x,-y,-z'
'-x,y+1/2,-z'
'x,-y+1/2,z'
loop_
_atom_site_label
_atom_site_type_symbol
_atom_site_fract_x
_atom_site_fract_y
_atom_site_fract_z
_atom_site_occupancy
Zr1 Zr 0.193 0.250 0.279 1
Cr1 Cr 0.083 0.250 0.583 1
Cr2 Cr 0.142 0.750 0.007 1
Cr3 Cr 0.314 0.750 0.777 1
Cr4 Cr 0.374 0.250 0.009 1
Cr5 Cr 0.458 0.250 0.575 1
P1 P 0.089 0.250 0.833 1
P2 P 0.248 0.750 0.513 1
P3 P 0.440 0.750 0.177 1
```

This entry pairs a crystal structure of SrErCd4 with its calculated powder diffractogram. Radiation: Cu Kα. Structure: a cell relaxed with GGA-PBE.
Peak positions follow from Bragg's law for the DFT cell and can differ from measured ones.

Peak list (6 most intense, 2θ = 10–80°, sorted by position)
32.38 deg, intensity 100, hkl 1 0 2; 35.46 deg, intensity 85, hkl 0 2 0; 48.77 deg, intensity 31, hkl 1 2 2; 61.73 deg, intensity 30, hkl 1 1 5; 63.66 deg, intensity 14, hkl 0 3 3; 63.90 deg, intensity 29, hkl 2 2 0

Atomic structure:
```
data_SrErCd4
_space_group_name_H-M_alt 'P m m m'
_space_group_IT_number 47
_cell_length_a 3.562
_cell_length_b 5.063
_cell_length_c 8.772
_cell_angle_alpha 90.00
_cell_angle_beta 90.00
_cell_angle_gamma 90.00
loop_
_space_group_symop_operation_xyz
'x,y,z'
'-x,-y,-z'
'-x,-y,z'
'x,y,-z'
'x,-y,-z'
'-x,y,z'
'-x,y,-z'
'x,-y,z'
loop_
_atom_site_label
_atom_site_type_symbol
_atom_site_fract_x
_atom_site_fract_y
_atom_site_fract_z
_atom_site_occupancy
Sr1 Sr 0.000 0.000 0.000 1
Er1 Er 0.000 0.500 0.500 1
Cd1 Cd 0.500 0.000 0.340 1
Cd2 Cd 0.500 0.500 0.175 1
```

This entry pairs a crystal structure of Tl8In3Pb with its calculated powder diffractogram. Radiation: Cu Kα. Structure: a cell relaxed with GGA-PBE.
Peak positions follow from Bragg's law for the DFT cell and can differ from measured ones.

Peak list (6 most intense, 2θ = 10–80°, sorted by position)
25.20 deg, intensity 100, hkl 1 1 1; 34.59 deg, intensity 93, hkl 2 -1 2; 37.25 deg, intensity 73, hkl 3 0 0; 51.74 deg, intensity 30, hkl 2 2 2; 60.21 deg, intensity 23, hkl 4 1 1; 65.46 deg, intensity 30, hkl 5 -1 2

Atomic structure:
```
data_Tl8In3Pb
_space_group_name_H-M_alt 'P -3 1 m'
_space_group_IT_number 162
_space_group_name_Hall '-P 3 2'
_cell_length_a 8.3628
_cell_length_b 8.3628
_cell_length_c 6.6097
_cell_angle_alpha 90.00
_cell_angle_beta 90.00
_cell_angle_gamma 120.00
loop_
_atom_site_label
_atom_site_type_symbol
_atom_site_fract_x
_atom_site_fract_y
_atom_site_fract_z
_atom_site_occupancy
Tl1 Tl 0.0000 0.3318 0.2278 1
Tl2 Tl 0.3333 0.6667 0.5000 1
In1 In 0.0000 0.0000 0.0000 1
In2 In 0.3333 0.6667 0.0000 1
Pb1 Pb 0.0000 0.0000 0.5000 1
```

This entry pairs a crystal structure of Ac2TlSn2 with its calculated powder diffractogram. Radiation: Cu Kα. Structure: a cell relaxed with GGA-PBE.
Peak positions follow from Bragg's law for the DFT cell and can differ from measured ones.

Peak list (6 most intense, 2θ = 10–80°, sorted by position)
28.13 deg, intensity 59, hkl 2 0 2; 30.08 deg, intensity 100, hkl 2 1 2; 33.42 deg, intensity 42, hkl 3 1 0; 37.61 deg, intensity 23, hkl 0 0 4; 48.17 deg, intensity 17, hkl 4 1 2; 51.19 deg, intensity 26, hkl 3 1 4

Atomic structure:
```
data_Ac2TlSn2
_space_group_name_H-M_alt 'P 4/m n c'
_space_group_IT_number 128
_space_group_name_Hall '-P 4 2n'
_cell_length_a 8.478
_cell_length_b 8.478
_cell_length_c 9.566
_cell_angle_alpha 90.00
_cell_angle_beta 90.00
_cell_angle_gamma 90.00
loop_
_atom_site_label
_atom_site_type_symbol
_atom_site_fract_x
_atom_site_fract_y
_atom_site_fract_z
_atom_site_occupancy
Ac1 Ac 0.178 0.322 0.000 1
Tl1 Tl 0.000 0.000 0.250 1
Sn1 Sn 0.122 0.622 0.250 1
```

This entry pairs a crystal structure of PmDyHoAl with its calculated powder diffractogram. Radiation: Cu Kα. Structure: a cell relaxed with GGA-PBE.
Peak positions follow from Bragg's law for the DFT cell and can differ from measured ones.

Peak list (6 most intense, 2θ = 10–80°, sorted by position)
27.14 deg, intensity 29, hkl 1 0 1; 29.54 deg, intensity 17, hkl 0 0 3; 32.16 deg, intensity 100, hkl 1 0 2; 36.03 deg, intensity 43, hkl 1 1 0; 47.26 deg, intensity 19, hkl 1 1 3; 62.36 deg, intensity 30, hkl 2 1 2

Atomic structure:
```
data_PmDyHoAl
_space_group_name_H-M_alt 'P 4 m m'
_space_group_IT_number 99
_cell_length_a 3.525
_cell_length_b 3.525
_cell_length_c 9.073
_cell_angle_alpha 90.00
_cell_angle_beta 90.00
_cell_angle_gamma 90.00
loop_
_space_group_symop_operation_xyz
'x,y,z'
'-y,x,z'
'-x,-y,z'
'y,-x,z'
'-x,y,z'
'y,x,z'
'x,-y,z'
'-y,-x,z'
loop_
_atom_site_label
_atom_site_type_symbol
_atom_site_fract_x
_atom_site_fract_y
_atom_site_fract_z
_atom_site_occupancy
Pm1 Pm 0.000 0.000 0.000 1
Dy1 Dy 0.500 0.500 0.709 1
Ho1 Ho 0.500 0.500 0.289 1
Al1 Al 0.000 0.000 0.498 1
```

This entry pairs a crystal structure of K2GaW with its calculated powder diffractogram. Radiation: Cu Kα. Structure: a cell relaxed with GGA-PBE.
Peak positions follow from Bragg's law for the DFT cell and can differ from measured ones.

Peak list (6 most intense, 2θ = 10–80°, sorted by position)
14.09 deg, intensity 100, hkl 2 0 0; 19.98 deg, intensity 33, hkl 2 2 0; 23.76 deg, intensity 30, hkl 2 1 1; 28.41 deg, intensity 28, hkl 4 0 0; 31.85 deg, intensity 43, hkl 4 2 0; 42.59 deg, intensity 30, hkl 3 1 2

Atomic structure:
```
data_K2GaW
_space_group_name_H-M_alt 'I -4 2 d'
_space_group_IT_number 122
_space_group_name_Hall 'I -4 2bw'
_cell_length_a 12.567
_cell_length_b 12.567
_cell_length_c 5.021
_cell_angle_alpha 90.00
_cell_angle_beta 90.00
_cell_angle_gamma 90.00
loop_
_atom_site_label
_atom_site_type_symbol
_atom_site_fract_x
_atom_site_fract_y
_atom_site_fract_z
_atom_site_occupancy
K1 K 0.074 0.250 0.125 1
Ga1 Ga 0.000 0.000 0.000 1
W1 W 0.000 0.000 0.500 1
```

This entry pairs a crystal structure of Pm6PrSm3Ho2 with its calculated powder diffractogram. Radiation: Cu Kα. Structure: a cell relaxed with GGA-PBE.
Peak positions follow from Bragg's law for the DFT cell and can differ from measured ones.

Peak list (6 most intense, 2θ = 10–80°, sorted by position)
30.16 deg, intensity 100, hkl 1 3 1; 34.97 deg, intensity 51, hkl 2 0 2; 50.29 deg, intensity 36, hkl 1 3 5; 59.76 deg, intensity 43, hkl 4 0 0; 62.71 deg, intensity 12, hkl 2 6 2; 73.87 deg, intensity 6, hkl 4 0 4

Atomic structure:
```
data_Pm6PrSm3Ho2
_space_group_name_H-M_alt 'C 1 2/m 1'
_space_group_IT_number 12
_cell_length_a 6.288
_cell_length_b 10.888
_cell_length_c 12.029
_cell_angle_alpha 90.00
_cell_angle_beta 100.04
_cell_angle_gamma 90.00
loop_
_space_group_symop_operation_xyz
'x,y,z'
'-x,-y,-z'
'-x,y,-z'
'x,-y,z'
'x+1/2,y+1/2,z'
'-x+1/2,-y+1/2,-z'
'-x+1/2,y+1/2,-z'
'x+1/2,-y+1/2,z'
loop_
_atom_site_label
_atom_site_type_symbol
_atom_site_fract_x
_atom_site_fract_y
_atom_site_fract_z
_atom_site_occupancy
Pm1 Pm 0.249 0.000 0.249 1
Pm2 Pm 0.249 0.167 0.751 1
Pr1 Pr 0.000 0.500 0.000 1
Sm1 Sm 0.000 0.000 0.500 1
Sm2 Sm 0.000 0.333 0.500 1
Ho1 Ho 0.000 0.167 0.000 1
```

This entry pairs a crystal structure of Er4AlSb2 with its calculated powder diffractogram. Radiation: Cu Kα. Structure: a cell relaxed with GGA-PBE.
Peak positions follow from Bragg's law for the DFT cell and can differ from measured ones.

Peak list (6 most intense, 2θ = 10–80°, sorted by position)
26.55 deg, intensity 100, hkl 0 4 0; 30.21 deg, intensity 70, hkl 3 1 1; 35.41 deg, intensity 37, hkl 1 1 5; 35.76 deg, intensity 32, hkl 3 3 1; 37.89 deg, intensity 32, hkl 0 4 4; 45.08 deg, intensity 36, hkl 3 5 1

Atomic structure:
```
data_Er4AlSb2
_space_group_name_H-M_alt 'F d d d'
_space_group_IT_number 70
_cell_length_a 9.341
_cell_length_b 13.421
_cell_length_c 13.442
_cell_angle_alpha 90.00
_cell_angle_beta 90.00
_cell_angle_gamma 90.00
loop_
_space_group_symop_operation_xyz
'x,y,z'
'-x,-y,-z'
'-x+1/4,-y+1/4,z'
'x+1/4,y+1/4,-z'
'x,-y+1/4,-z+1/4'
'-x,y+1/4,z+1/4'
'-x+1/4,y,-z+1/4'
'x+1/4,-y,z+1/4'
'x,y+1/2,z+1/2'
'-x,-y+1/2,-z+1/2'
'-x+1/4,-y+3/4,z+1/2'
'x+1/4,y+3/4,-z+1/2'
'x,-y+3/4,-z+3/4'
'-x,y+3/4,z+3/4'
'-x+1/4,y+1/2,-z+3/4'
'x+1/4,-y+1/2,z+3/4'
'x+1/2,y,z+1/2'
'-x+1/2,-y,-z+1/2'
'-x+3/4,-y+1/4,z+1/2'
'x+3/4,y+1/4,-z+1/2'
'x+1/2,-y+1/4,-z+3/4'
'-x+1/2,y+1/4,z+3/4'
'-x+3/4,y,-z+3/4'
'x+3/4,-y,z+3/4'
'x+1/2,y+1/2,z'
'-x+1/2,-y+1/2,-z'
'-x+3/4,-y+3/4,z'
'x+3/4,y+3/4,-z'
'x+1/2,-y+3/4,-z+1/4'
'-x+1/2,y+3/4,z+1/4'
'-x+3/4,y+1/2,-z+1/4'
'x+3/4,-y+1/2,z+1/4'
loop_
_atom_site_label
_atom_site_type_symbol
_atom_site_fract_x
_atom_site_fract_y
_atom_site_fract_z
_atom_site_occupancy
Er1 Er 0.065 0.279 0.471 1
Al1 Al 0.125 0.125 0.625 1
Sb1 Sb 0.000 0.000 0.000 1
```

This entry pairs a crystal structure of K2S2NO6 with its calculated powder diffractogram. Radiation: Cu Kα. Structure: a cell relaxed with GGA-PBE.
Peak positions follow from Bragg's law for the DFT cell and can differ from measured ones.

Peak list (6 most intense, 2θ = 10–80°, sorted by position)
23.61 deg, intensity 100, hkl 0 2 0; 23.98 deg, intensity 57, hkl 0 0 2; 26.13 deg, intensity 84, hkl 2 0 -2; 26.53 deg, intensity 61, hkl 0 2 1; 26.71 deg, intensity 87, hkl 4 0 0; 36.46 deg, intensity 47, hkl 5 1 -1

Atomic structure:
```
data_K2S2NO6
_space_group_name_H-M_alt 'C 1 2/c 1'
_space_group_IT_number 15
_cell_length_a 13.433
_cell_length_b 7.537
_cell_length_c 7.470
_cell_angle_alpha 90.00
_cell_angle_beta 96.43
_cell_angle_gamma 90.00
loop_
_space_group_symop_operation_xyz
'x,y,z'
'-x,-y,-z'
'-x,y,-z+1/2'
'x,-y,z+1/2'
'x+1/2,y+1/2,z'
'-x+1/2,-y+1/2,-z'
'-x+1/2,y+1/2,-z+1/2'
'x+1/2,-y+1/2,z+1/2'
loop_
_atom_site_label
_atom_site_type_symbol
_atom_site_fract_x
_atom_site_fract_y
_atom_site_fract_z
_atom_site_occupancy
K1 K 0.143 0.192 0.180 1
S1 S 0.095 0.299 0.669 1
N1 N 0.000 0.408 0.750 1
O1 O 0.051 0.220 0.498 1
O2 O 0.135 0.166 0.803 1
O3 O 0.167 0.440 0.646 1
```

What did the tenth record say?
This entry pairs a crystal structure of Pm6PrSm3Ho2 with its calculated powder diffractogram. Radiation: Cu Kα. Structure: a cell relaxed with GGA-PBE.
Peak positions follow from Bragg's law for the DFT cell and can differ from measured ones.

Peak list (6 most intense, 2θ = 10–80°, sorted by position)
30.16 deg, intensity 100, hkl 1 3 1; 34.97 deg, intensity 51, hkl 2 0 2; 50.29 deg, intensity 36, hkl 1 3 5; 59.76 deg, intensity 43, hkl 4 0 0; 62.71 deg, intensity 12, hkl 2 6 2; 73.87 deg, intensity 6, hkl 4 0 4

Atomic structure:
```
data_Pm6PrSm3Ho2
_space_group_name_H-M_alt 'C 1 2/m 1'
_space_group_IT_number 12
_cell_length_a 6.288
_cell_length_b 10.888
_cell_length_c 12.029
_cell_angle_alpha 90.00
_cell_angle_beta 100.04
_cell_angle_gamma 90.00
loop_
_space_group_symop_operation_xyz
'x,y,z'
'-x,-y,-z'
'-x,y,-z'
'x,-y,z'
'x+1/2,y+1/2,z'
'-x+1/2,-y+1/2,-z'
'-x+1/2,y+1/2,-z'
'x+1/2,-y+1/2,z'
loop_
_atom_site_label
_atom_site_type_symbol
_atom_site_fract_x
_atom_site_fract_y
_atom_site_fract_z
_atom_site_occupancy
Pm1 Pm 0.249 0.000 0.249 1
Pm2 Pm 0.249 0.167 0.751 1
Pr1 Pr 0.000 0.500 0.000 1
Sm1 Sm 0.000 0.000 0.500 1
Sm2 Sm 0.000 0.333 0.500 1
Ho1 Ho 0.000 0.167 0.000 1
```